Computed powder XRD pattern
Compound: NpHgRh2
Radiation: Cu Kα
Structure: DFT lattice parameters and positions (PBE)
No peak broadening, texture or thermal motion is included.

Crystal structure
```
NpHgRh2
1.0
4.458 0.000 0.000
0.000 4.458 0.000
0.000 0.000 3.688
Np Hg Rh
1 1 2
Cartesian
0.000 0.000 0.000
2.229 2.229 0.000
0.000 2.229 1.844
2.229 0.000 1.844
```

Most intense lines, 2θ = 10–90°, in order of falling intensity:
index, 2θ/deg, intensity
1 1 1, 37.54, 100.0
2 0 0, 40.47, 40.6
3 1 1, 71.67, 30.5
2 0 2, 65.72, 19.6
2 2 0, 58.57, 13.9
1 1 0, 28.31, 11.8
0 0 2, 49.43, 11.5
2 2 2, 80.10, 11.4